Record 1
Er2CoB4Ir4: theoretical XRD peak list (Cu Kα (weighted mean of Kα1 and Kα2)), based on DFT lattice parameters and positions (PBE).
Neutral-atom scattering factors, no anomalous dispersion.

Largest 6 diffraction maxima, in order of rising 2θ, 2θ = 10–80°:
2θ (°), intensity
30.2, 30.9
37.1, 83.5
38.2, 100.0
38.9, 46.0
46.0, 49.2
61.8, 37.5

Atomic structure:
Lattice parameters (Å, degrees): 5.4714 9.2628 11.3904 90.00 90.00 90.00
Space group Fmmm (No. 69)
Inequivalent atoms, fractional coordinates:
Er1 0.0000 0.0000 0.1377 [8 per cell]
Co1 0.0000 0.0000 0.5000 [4 per cell]
B1 0.0000 0.1449 0.3680 [16 per cell]
Ir1 0.2500 0.2500 0.0000 [8 per cell]
Ir2 0.2500 0.2500 0.2500 [8 per cell]

Record 2
LaEr2Co2B2N3: theoretical XRD peak list (Cu Kα (weighted mean of Kα1 and Kα2)), based on DFT lattice parameters and positions (PBE).
Neutral-atom scattering factors, no anomalous dispersion.

Largest 6 diffraction maxima, in order of rising 2θ, 2θ = 10–80°:
2θ (°), intensity
28.6, 100.0
33.7, 60.7
35.4, 47.4
36.1, 38.1
40.4, 44.0
52.0, 34.1

Atomic structure:
Lattice parameters (Å, degrees): 3.5155 3.5155 20.2741 90.00 90.00 90.00
Space group I4/mmm (No. 139)
Inequivalent atoms, fractional coordinates:
La1 0.0000 0.0000 0.0000 [2 per cell]
Er1 0.0000 0.0000 0.3715 [4 per cell]
Co1 0.0000 0.5000 0.2500 [4 per cell]
B1 0.0000 0.0000 0.1965 [4 per cell]
N1 0.0000 0.0000 0.1226 [4 per cell]
N2 0.0000 0.0000 0.5000 [2 per cell]